Diffraction record for Co7Ni4. The PXRD pattern is computed, not measured: it uses a cell relaxed with GGA-PBE and λ = 1.5418 Å (Cu Kα).

Main lines, in order of falling intensity (2θ from 5° to 70°):
2θ (°)  I (rel.)
40.40  100
49.59  65
42.62  39
49.46  35
36.94  29
56.83  24
55.05  20
15.79  18
67.31  18
48.67  8
65.05  7
31.89  4

Crystal structure
```
data_Co7Ni4
_symmetry_space_group_name_H-M 'P -6 m 2'
_symmetry_Int_Tables_number 187
_symmetry_space_group_name_Hall 'P -6 2'
_cell_length_a 6.4803
_cell_length_b 6.4803
_cell_length_c 3.6853
_cell_angle_alpha 90.00
_cell_angle_beta 90.00
_cell_angle_gamma 120.00
loop_
_atom_site_label
_atom_site_fract_x
_atom_site_fract_y
_atom_site_fract_z
_atom_site_occupancy
Co1 0.0000 0.0000 0.0000 1
Co2 0.2031 0.4062 0.5000 1
Co3 0.5348 0.0695 0.0000 1
Ni1 0.3333 0.6667 0.0000 1
Ni2 0.3989 0.1995 0.5000 1
```